This entry pairs a crystal structure of LiYMg6O8 with its simulated XRD peak list. Radiation: CuKα. Structure: DFT lattice parameters and positions (GGA-PBE).
Neutral-atom scattering factors, no anomalous dispersion.

Atomic structure:
```
LiYMg6O8
1.0
4.366 0.000 0.000
0.000 4.366 0.000
0.000 0.000 8.821
Li Y Mg O
1 1 6 8
Cartesian
0.000 0.000 0.000 Li
0.000 0.000 4.410 Y
0.000 2.183 1.992 Mg
0.000 2.183 6.829 Mg
2.183 0.000 1.992 Mg
2.183 0.000 6.829 Mg
2.183 2.183 0.000 Mg
2.183 2.183 4.410 Mg
0.000 0.000 2.174 O
0.000 0.000 6.647 O
0.000 2.183 0.000 O
0.000 2.183 4.410 O
2.183 0.000 0.000 O
2.183 0.000 4.410 O
2.183 2.183 2.238 O
2.183 2.183 6.583 O
```

The 8 most intense peaks (10 to 80 degrees two-theta), low angle first:
8.821 Å, I 52, (0 0 1)
3.913 Å, I 49, (1 0 1)
2.914 Å, I 33, (1 1 1)
2.529 Å, I 28, (1 1 2)
2.205 Å, I 47, (0 0 4)
2.183 Å, I 100, (2 0 0)
1.551 Å, I 53, (2 0 4)
1.544 Å, I 29, (2 2 0)